This entry pairs a crystal structure of AcDy12Tm2 with its calculated X-ray powder pattern. Radiation: a wavelength of 1.5418 Å. Structure: a structure optimized by DFT (PBE).

Crystal structure
```
data_AcDy12Tm2
_cell_length_a 3.582
_cell_length_b 5.583
_cell_length_c 24.385
_cell_angle_alpha 90.00
_cell_angle_beta 94.19
_cell_angle_gamma 90.00
_space_group_name_H-M_alt 'P 1 2/m 1'
_space_group_IT_number 10
_space_group_name_Hall '-P 2y'
loop_
_atom_site_label
_atom_site_type_symbol
_atom_site_fract_x
_atom_site_fract_y
_atom_site_fract_z
Ac1 Ac 0.000 0.000 0.000
Dy1 Dy 0.070 0.000 0.144
Dy2 Dy 0.100 0.500 0.205
Dy3 Dy 0.165 0.500 0.331
Dy4 Dy 0.215 0.000 0.425
Dy5 Dy 0.276 0.500 0.555
Dy6 Dy 0.462 0.500 0.921
Tm1 Tm 0.365 0.000 0.726
```

Main lines, in order of rising 2θ (2θ from 5° to 70°):
two_theta, Rel. int., (hkl)
30.15, 44, 1 1 1
30.30, 77, 0 1 7
31.05, 49, 1 1 2
32.09, 100, 0 2 0
32.16, 25, 1 0 -6
32.37, 69, 1 1 -4
33.57, 30, 0 1 8
46.05, 37, 1 2 -6
60.46, 24, 2 1 -8
61.51, 24, 2 2 -1